Starting from the GGA-PBE geometry in Alexandria, the X-ray diffraction stick pattern of Sr4Hg3Pd was calculated for Cu Ka.
Neutral-atom scattering factors, no anomalous dispersion.

Cell and atoms:
a = 3.9141 Å, b = 3.9141 Å, c = 15.8508 Å
α = 90.00°, β = 90.00°, γ = 90.00°
Sites, in units of the cell vectors:
Sr  0.0000  0.0000  0.1130
Sr  0.0000  0.0000  0.3706
Sr  0.0000  0.0000  0.6294
Sr  0.0000  0.0000  0.8870
Hg  0.5000  0.5000  0.2409
Hg  0.5000  0.5000  0.5000
Hg  0.5000  0.5000  0.7591
Pd  0.5000  0.5000  0.0000

Largest 10 diffraction maxima, low angle first, 15° ≤ 2θ ≤ 90°:
22.72 deg, intensity 13; 32.14 deg, intensity 100; 32.35 deg, intensity 51; 45.80 deg, intensity 8; 46.39 deg, intensity 20; 57.18 deg, intensity 17; 57.56 deg, intensity 38; 67.24 deg, intensity 11; 76.94 deg, intensity 8; 77.05 deg, intensity 9